Diffraction record for Ba3SrNd2Ir2O12. The powder diffractogram is theoretical, not measured: it uses a DFT-relaxed cell (GGA-PBE, Alexandria) and λ = 1.5418 Å (Cu Kα).

Main lines, most intense first (5° ≤ 2θ ≤ 70°):
- 2θ = 29.4°, d 3.040, I 1000, (1 1 -2)
- 2θ = 29.6°, d 3.021, I 999, (2 0 0)
- 2θ = 29.7°, d 3.008, I 989, (1 1 2)
- 2θ = 42.2°, d 2.141, I 555, (0 0 4)
- 2θ = 52.5°, d 1.744, I 323, (2 0 4)
- 2θ = 42.4°, d 2.131, I 267, (2 2 0)
- 2θ = 52.0°, d 1.759, I 210, (0 2 -4)
- 2θ = 52.4°, d 1.747, I 208, (3 -1 2)
- 2θ = 52.8°, d 1.735, I 206, (1 3 2)
- 2θ = 52.6°, d 1.739, I 194, (-1 3 2)

```
Ba3SrNd2Ir2O12
1.0
6.034 0.000 0.000
-0.029 6.052 0.000
-0.007 -0.128 8.558
Ba Sr Nd Ir O
3 1 2 2 12
Cartesian
0.000 0.000 0.000
0.009 -0.030 4.266
2.993 2.969 4.286
2.938 3.039 8.534
3.028 -0.053 6.424
5.994 3.006 2.122
-0.003 2.963 6.434
2.998 -0.014 2.114
0.248 3.071 8.402
1.231 4.504 6.209
1.430 1.209 2.171
1.561 1.731 6.397
1.758 4.473 2.327
2.794 5.842 0.148
3.185 0.120 4.099
4.175 1.576 1.839
4.462 4.192 6.530
4.531 4.806 2.073
4.785 1.436 6.645
5.838 2.853 4.446
```